Simulated PXRD pattern
Compound: CrCu2
Radiation: CuKα
Structure: a structure optimized by DFT (GGA-PBE)
Intensities are scaled so that the largest is 100.

Structural model:
Lattice parameters (Å, degrees): 9.8119 2.4393 6.2802 90.00 105.20 90.00
Space group Cm (No. 8)
Inequivalent atoms, fractional coordinates:
Cr1 0.0000 0.0000 0.0000
Cr2 0.1586 0.5000 0.3195
Cu1 0.0581 0.0000 0.6163
Cu2 0.2269 0.5000 0.9459
Cu3 0.3296 0.0000 0.6581
Cu4 0.3875 0.0000 0.2846

Peak list (6 most intense, 2θ = 5–70°, sorted by position)
Position (°2θ), d (Å), I (rel.), h k l
41.81, 2.160, 100, 4 0 -2
41.95, 2.154, 61, 1 1 1
44.60, 2.032, 69, 4 0 1
44.87, 2.020, 68, 0 0 3
47.09, 1.930, 98, 3 1 0
47.21, 1.925, 96, 1 1 -2